Simulated X-ray powder pattern of Ti3Mn2CoP6O24 for Cu Kα X-rays, from a crystal structure in Alexandria, relaxed with PBE+U.

Crystal structure
```
Ti3Mn2CoP6O24
1.0
4.324 2.497 7.020
-4.324 2.497 7.020
0.000 -4.993 7.020
Ti Mn Co P O
3 2 1 6 24
Cartesian
0.000 0.000 0.000
0.000 0.000 4.429
0.000 0.000 10.598
0.000 0.000 7.482
0.000 0.000 17.978
0.000 0.000 15.022
-3.046 0.308 9.262
-1.282 -2.196 12.805
1.256 -2.792 9.262
-1.260 2.208 12.805
1.790 2.483 9.262
2.542 -0.012 12.805
-3.500 1.078 7.989
-0.803 -1.287 5.785
-2.835 -2.313 12.630
-3.385 1.191 10.487
0.817 -3.570 7.989
-1.501 0.151 9.142
-0.713 1.339 5.785
0.661 -3.527 10.487
-0.802 -1.407 11.538
0.619 -1.376 9.142
1.516 -0.052 5.785
-0.850 -1.535 14.078
-0.818 1.398 11.538
-1.557 -0.214 16.482
0.882 1.224 9.142
-0.904 1.504 14.078
1.620 0.009 11.538
-0.586 3.611 12.630
0.964 -1.241 16.482
2.683 2.492 7.989
1.754 0.031 14.078
3.420 -1.298 12.630
0.593 1.456 16.482
2.723 2.336 10.487
```

Main lines, by intensity (2θ = 10–80°):
24.2°, 3.682 Å, I 100; 20.5°, 4.323 Å, I 76; 32.9°, 2.725 Å, I 66; 36.0°, 2.497 Å, I 33; 47.1°, 1.928 Å, I 26; 49.5°, 1.841 Å, I 26; 56.3°, 1.634 Å, I 21; 62.7°, 1.482 Å, I 17; 25.2°, 3.529 Å, I 15; 31.9°, 2.806 Å, I 15